# LiCo2C2O7
Simulated powder diffraction line list, Cu Kα. Input: a DFT-relaxed cell (PBE+U, Alexandria).

Largest 8 diffraction maxima, by intensity, 15° ≤ 2θ ≤ 90°:
Position (°2θ)	d (Å)	Rel. int.
22.77	3.905	100
21.33	4.165	95
22.31	3.985	45
37.40	2.405	42
22.07	4.028	41
21.89	4.061	31
39.43	2.285	22
36.61	2.454	22

Cell and atoms:
a b c (Å): 4.813 4.813 15.635
angles (deg): 91.26 91.26 120.05
Atoms (fractional coordinates):
Li1 0.005 0.995 0.500
Li2 0.995 0.005 0.000
Co1 0.317 0.635 0.357
Co2 0.348 0.694 0.130
Co3 0.635 0.317 0.857
Co4 0.694 0.348 0.630
C1 0.320 0.662 0.909
C2 0.351 0.676 0.582
C3 0.662 0.320 0.409
C4 0.676 0.351 0.082
O1 0.056 0.389 0.908
O2 0.093 0.696 0.582
O3 0.314 0.930 0.911
O4 0.331 0.397 0.582
O5 0.379 0.692 0.250
O6 0.389 0.056 0.408
O7 0.397 0.331 0.082
O8 0.595 0.673 0.912
O9 0.630 0.935 0.581
O10 0.673 0.595 0.412
O11 0.692 0.379 0.750
O12 0.696 0.093 0.082
O13 0.930 0.314 0.411
O14 0.935 0.630 0.081